Starting from the GGA+U geometry in Alexandria, the PXRD pattern of Li3Fe3P4O16 was computed for Cu Kα (λ = 1.5418 Å).
Peak positions follow from Bragg's law for the DFT cell and can differ from measured ones.

Cell: 8.255 9.357 10.089 Å, 102.28 101.54 108.12°
Space group P-1 (No. 2)
Unique sites:
Li1 0.070 0.341 0.233
Li2 0.080 0.934 0.648
Li3 0.082 0.977 0.127
Fe1 0.271 0.530 0.846
Fe2 0.413 0.690 0.455
Fe3 0.495 0.072 0.756
P1 0.209 0.393 0.538
P2 0.222 0.879 0.926
P3 0.277 0.982 0.411
P4 0.370 0.535 0.145
O1 0.031 0.875 0.915
O2 0.059 0.291 0.405
O3 0.099 0.971 0.323
O4 0.144 0.377 0.671
O5 0.203 0.706 0.860
O6 0.219 0.462 0.003
O7 0.271 0.573 0.549
O8 0.281 0.520 0.266
O9 0.290 0.016 0.571
O10 0.298 0.978 0.831
O11 0.317 0.828 0.355
O12 0.328 0.945 0.085
O13 0.374 0.346 0.545
O14 0.438 0.105 0.382
O15 0.480 0.710 0.164
O16 0.489 0.436 0.142

Most intense lines, 2θ from 15° to 90°, in order of rising 2θ:
2θ/deg, I_rel
17.49, 100
20.91, 74
22.05, 46
23.68, 28
25.18, 75
25.42, 34
27.57, 28
30.15, 38
33.89, 32
36.01, 26